Starting from a cell relaxed with PBE, the X-ray powder pattern of CdCO3 was computed for CuKα.
Lines closer than 0.1° are merged.

Structure:
Cell: 5.0167 5.0167 16.6117 Å, 90.00 90.00 120.00°
Space group R-3c (No. 167, hexagonal axes)
Inequivalent atoms, fractional coordinates:
1 Cd 0.0000 0.0000 0.0000
2 C 0.0000 0.0000 0.2500
3 O 0.0000 0.2590 0.2500

Top 10 peaks for 10 to 90 degrees two-theta, sorted by position:
hkl	Position (°2θ)	I_rel
0 1 2	23.10	705
1 0 4	29.76	1000
1 1 0	35.80	347
2 0 2	43.04	260
0 2 4	47.22	161
0 1 8	48.60	233
1 1 6	49.00	360
1 2 2	57.18	209
2 1 4	60.64	152
3 0 0	64.33	101